Theoretical X-ray powder pattern of Sc3PaBi4 for Cu Kα (λ = 1.5418 Å), from a crystal structure in Alexandria, relaxed with PBE.

Largest 8 diffraction maxima, in order of rising 2θ, 2θ = 10–80°:
- 25.2°, I = 28
- 29.2°, I = 100
- 41.7°, I = 13
- 41.8°, I = 64
- 51.7°, I = 13
- 51.8°, I = 14
- 68.6°, I = 29
- 76.3°, I = 18

a = 7.4938 Å, b = 7.4938 Å, c = 4.3238 Å
α = 90.00°, β = 90.00°, γ = 109.30°
Element x y z (fractional)
Sc: 0.0000 0.0000 0.0000
Sc: 0.0000 0.5000 0.5000
Sc: 0.5000 0.0000 0.5000
Pa: 0.5000 0.5000 0.0000
Bi: 0.2375 0.2375 0.5000
Bi: 0.2447 0.7553 0.0000
Bi: 0.7553 0.2447 0.0000
Bi: 0.7625 0.7625 0.5000